Record 1
Calculated X-ray diffraction stick pattern of VPH4O6 for Cu Kα X-rays, from a DFT-relaxed cell (GGA+U, the Materials Project).
Lines closer than 0.1° are merged.

Structure:
a = 5.3399 Å, b = 9.9811 Å, c = 10.1947 Å
α = 90.00°, β = 119.97°, γ = 90.00°
Space group P2_1/c (No. 14)
Unique sites:
V 0.1052 0.1766 0.1974 [4 per cell]
P 0.2710 0.6438 0.6801 [4 per cell]
H 0.1170 0.0389 0.7756 [4 per cell]
H 0.2905 0.1579 0.5006 [4 per cell]
H 0.4031 0.5566 0.3314 [4 per cell]
H 0.4397 0.6646 0.0244 [4 per cell]
O 0.0860 0.6655 0.7583 [4 per cell]
O 0.1389 0.7193 0.5274 [4 per cell]
O 0.1972 0.5544 0.3071 [4 per cell]
O 0.2854 0.0100 0.1578 [4 per cell]
O 0.3546 0.1379 0.4274 [4 per cell]
O 0.4196 0.1975 0.7134 [4 per cell]

Top 10 peaks for 2θ = 10–80°, in order of rising 2θ:
d = 6.614 Å, I = 34
d = 4.991 Å, I = 41
d = 4.707 Å, I = 76
d = 4.626 Å, I = 19
d = 4.416 Å, I = 100
d = 4.112 Å, I = 20
d = 3.645 Å, I = 46
d = 2.824 Å, I = 100
d = 2.578 Å, I = 25
d = 2.260 Å, I = 19

Record 2
Calculated X-ray diffraction stick pattern of P4H3W2O16 for Cu Kα X-rays, from a DFT-relaxed cell (GGA+U, the Materials Project).
Lines closer than 0.1° are merged.

Structure:
a = 5.0138 Å, b = 7.4904 Å, c = 8.3186 Å
α = 90.80°, β = 90.57°, γ = 104.35°
Space group P1 (No. 1)
Unique sites:
P 0.0000 0.0000 0.0000 [1 per cell]
P 0.2354 0.5166 0.3224 [1 per cell]
P 0.4946 0.4840 0.8105 [1 per cell]
P 0.7299 0.0227 0.5109 [1 per cell]
H 0.0767 0.2423 0.6544 [1 per cell]
H 0.5692 0.7564 0.2650 [1 per cell]
H 0.6769 0.7508 0.0355 [1 per cell]
W 0.1148 0.7538 0.6629 [1 per cell]
W 0.6174 0.2581 0.1610 [1 per cell]
O 0.0629 0.9426 0.8290 [1 per cell]
O 0.1694 0.5701 0.4940 [1 per cell]
O 0.2574 0.0760 0.1019 [1 per cell]
O 0.3454 0.3203 0.7135 [1 per cell]
O 0.3497 0.6490 0.8174 [1 per cell]
O 0.3791 0.6975 0.2322 [1 per cell]
O 0.4244 0.3830 0.3311 [1 per cell]
O 0.4435 0.9305 0.5896 [1 per cell]
O 0.5603 0.4482 0.9859 [1 per cell]
O 0.6770 0.0696 0.3383 [1 per cell]
O 0.7870 0.5812 0.7323 [1 per cell]
O 0.8140 0.1355 0.9909 [1 per cell]
O 0.8471 0.8193 0.0895 [1 per cell]
O 0.8679 0.1917 0.6135 [1 per cell]
O 0.8885 0.8678 0.5067 [1 per cell]
O 0.9765 0.4381 0.2221 [1 per cell]

Top 10 peaks for 2θ = 10–80°, in order of rising 2θ:
d = 5.514 Å, I = 100
d = 5.422 Å, I = 91
d = 4.597 Å, I = 30
d = 4.220 Å, I = 40
d = 4.164 Å, I = 90
d = 3.638 Å, I = 95
d = 3.093 Å, I = 73
d = 3.083 Å, I = 73
d = 2.757 Å, I = 27
d = 2.712 Å, I = 33